1.
Computed powder X-ray diffraction pattern of MnP2S6 for Cu Kα X-rays, from DFT lattice parameters and positions (PBE).
Kinematic intensities with the Lorentz-polarization factor, no thermal factor.

Largest 12 diffraction maxima, in order of rising 2θ, 10° ≤ 2θ ≤ 80°:
2θ/deg  intensity  hkl
12.36  100.0  0 0 3
17.82  45.1  1 0 1
19.21  28.2  0 1 2
24.87  25.4  0 0 6
32.79  94.6  1 1 3
39.55  32.4  1 1 6
46.19  6.8  0 2 7
49.06  18.1  2 -1 9
53.74  26.4  3 0 0
55.37  9.0  3 0 3
60.46  6.9  1 1 12
64.39  8.8  4 -2 3

```
data_MnP2S6
_symmetry_space_group_name_H-M 'R 3'
_symmetry_Int_Tables_number 146
_symmetry_space_group_name_Hall 'R 3'
_cell_length_a 5.9092
_cell_length_b 5.9092
_cell_length_c 21.4829
_cell_angle_alpha 90.00
_cell_angle_beta 90.00
_cell_angle_gamma 120.00
loop_
_atom_site_label
_atom_site_type_symbol
_atom_site_fract_x
_atom_site_fract_y
_atom_site_fract_z
Mn1 Mn 0.0000 0.0000 0.0000
P1 P 0.0000 0.0000 0.6165
P2 P 0.0000 0.0000 0.7170
S1 S 0.0405 0.3541 0.5932
S2 S 0.0406 0.6863 0.7401
```

***

2.
Computed powder X-ray diffraction pattern of GaP2H11O12 for Cu Kα X-rays, from DFT lattice parameters and positions (PBE).
Kinematic intensities with the Lorentz-polarization factor, no thermal factor.

Largest 12 diffraction maxima, in order of rising 2θ, 10° ≤ 2θ ≤ 80°:
2θ/deg  intensity  hkl
12.38  100.0  1 0 0
15.86  28.9  0 1 1
17.02  42.9  1 1 0
18.35  51.4  1 1 -1
21.58  21.8  0 0 2
24.59  21.6  0 1 2
25.80  17.4  0 2 1
27.14  59.2  2 1 -1
27.67  48.3  1 0 2
32.28  60.3  1 2 -2
43.86  16.4  3 1 1
57.17  17.8  3 3 -3

```
data_GaP2H11O12
_symmetry_space_group_name_H-M 'P 1 21/c 1'
_symmetry_Int_Tables_number 14
_cell_length_a 7.4021
_cell_length_b 7.6084
_cell_length_c 8.5273
_cell_angle_alpha 90.00
_cell_angle_beta 105.07
_cell_angle_gamma 90.00
loop_
_symmetry_equiv_pos_as_xyz
'x,y,z'
'-x,-y,-z'
'-x,y+1/2,-z+1/2'
'x,-y+1/2,z+1/2'
loop_
_atom_site_label
_atom_site_type_symbol
_atom_site_fract_x
_atom_site_fract_y
_atom_site_fract_z
Ga1 Ga 0.0000 0.0000 0.0000
P1 P 0.1885 0.1582 0.3655
H1 H 0.0000 0.0000 0.5000
H2 H 0.1883 0.7224 0.9480
H3 H 0.2864 0.6086 0.3851
H4 H 0.3605 0.0011 0.6711
H5 H 0.4298 0.1780 0.8878
H6 H 0.4425 0.0459 0.2057
O1 O 0.0510 0.1907 0.8609
O2 O 0.1549 0.0046 0.4766
O3 O 0.1872 0.0953 0.1934
O4 O 0.2091 0.6485 0.4590
O5 O 0.3975 0.2161 0.4475
O6 O 0.4280 0.5064 0.2871
```

***

3.
Computed powder X-ray diffraction pattern of Pm2GeRh2 for Cu Kα X-rays, from DFT lattice parameters and positions (PBE).
Kinematic intensities with the Lorentz-polarization factor, no thermal factor.

Largest 12 diffraction maxima, in order of rising 2θ, 10° ≤ 2θ ≤ 80°:
2θ/deg  intensity  hkl
26.20  35.9  1 1 0
33.47  100.0  1 1 2
34.64  35.1  0 1 3
37.28  48.2  0 2 2
37.75  43.5  1 0 3
39.14  81.4  1 2 1
41.61  19.4  0 0 4
43.08  37.9  2 0 0
56.46  33.1  2 1 3
58.26  26.2  2 2 2
61.44  12.1  2 0 4
66.60  40.7  1 2 5

```
data_Pm2GeRh2
_symmetry_space_group_name_H-M 'I m m m'
_symmetry_Int_Tables_number 71
_symmetry_space_group_name_Hall '-I 2 2'
_cell_length_a 4.1991
_cell_length_b 5.8022
_cell_length_c 8.6817
_cell_angle_alpha 90.00
_cell_angle_beta 90.00
_cell_angle_gamma 90.00
loop_
_atom_site_label
_atom_site_type_symbol
_atom_site_fract_x
_atom_site_fract_y
_atom_site_fract_z
Pm1 Pm 0.0000 0.0000 0.2026
Ge1 Ge 0.0000 0.5000 0.0000
Rh1 Rh 0.0000 0.2599 0.5000
```

***

4.
Computed powder X-ray diffraction pattern of ThHgSe3 for Cu Kα X-rays, from DFT lattice parameters and positions (PBE).
Kinematic intensities with the Lorentz-polarization factor, no thermal factor.

Largest 12 diffraction maxima, in order of rising 2θ, 10° ≤ 2θ ≤ 80°:
2θ/deg  intensity  hkl
22.96  31.6  2 0 -2
23.80  61.6  1 1 -1
24.57  37.0  4 0 0
27.89  21.9  3 1 0
29.81  100.0  3 1 1
32.13  17.4  4 0 2
36.99  38.3  1 1 -3
37.27  18.2  1 1 3
38.63  39.7  5 1 -1
40.84  36.8  3 1 -3
41.64  22.9  3 1 3
42.36  41.8  0 2 0

```
data_ThHgSe3
_symmetry_space_group_name_H-M 'C 1 2/m 1'
_symmetry_Int_Tables_number 12
_cell_length_a 14.4996
_cell_length_b 4.2676
_cell_length_c 9.0110
_cell_angle_alpha 90.00
_cell_angle_beta 91.59
_cell_angle_gamma 90.00
loop_
_symmetry_equiv_pos_as_xyz
'x,y,z'
'-x,-y,-z'
'-x,y,-z'
'x,-y,z'
'x+1/2,y+1/2,z'
'-x+1/2,-y+1/2,-z'
'-x+1/2,y+1/2,-z'
'x+1/2,-y+1/2,z'
loop_
_atom_site_label
_atom_site_type_symbol
_atom_site_fract_x
_atom_site_fract_y
_atom_site_fract_z
Th1 Th 0.1261 0.0000 0.0914
Hg1 Hg 0.1046 0.5000 0.5757
Se1 Se 0.0360 0.5000 0.8468
Se2 Se 0.1389 0.0000 0.4165
Se3 Se 0.2487 0.0000 0.8353
```

***

5.
Computed powder X-ray diffraction pattern of CeTmZnCu for Cu Kα X-rays, from DFT lattice parameters and positions (PBE).
Kinematic intensities with the Lorentz-polarization factor, no thermal factor.

Largest 9 diffraction maxima, in order of rising 2θ, 10° ≤ 2θ ≤ 80°:
2θ/deg  intensity  hkl
21.77  0.9  1 1 1
25.19  17.0  2 0 0
35.92  100.0  2 2 0
42.39  0.5  3 1 1
44.37  5.2  2 2 2
51.70  17.4  4 0 0
58.36  7.2  4 2 0
64.56  35.2  4 2 2
76.15  10.8  4 4 0

```
data_CeTmZnCu
_symmetry_space_group_name_H-M 'F -4 3 m'
_symmetry_Int_Tables_number 216
_symmetry_space_group_name_Hall 'F -4 2 3'
_cell_length_a 7.0718
_cell_length_b 7.0718
_cell_length_c 7.0718
_cell_angle_alpha 90.00
_cell_angle_beta 90.00
_cell_angle_gamma 90.00
loop_
_atom_site_label
_atom_site_type_symbol
_atom_site_fract_x
_atom_site_fract_y
_atom_site_fract_z
Ce1 Ce 0.0000 0.0000 0.0000
Tm1 Tm 0.0000 0.0000 0.5000
Zn1 Zn 0.2500 0.2500 0.7500
Cu1 Cu 0.2500 0.2500 0.2500
```

***

6.
Computed powder X-ray diffraction pattern of Tb3Pm8Pr2 for Cu Kα X-rays, from DFT lattice parameters and positions (PBE).
Kinematic intensities with the Lorentz-polarization factor, no thermal factor.

Largest 11 diffraction maxima, in order of rising 2θ, 10° ≤ 2θ ≤ 80°:
2θ/deg  intensity  hkl
30.04  100.0  1 0 3
30.09  33.2  -2 1 1
34.84  67.5  2 1 0
50.09  40.2  3 -1 2
50.15  8.0  3 0 -4
59.52  47.8  2 3 1
59.61  9.6  4 0 -1
62.45  12.4  0 4 2
62.55  4.1  -4 2 2
73.53  5.1  2 -4 4
73.64  2.6  4 2 0

```
data_Tb3Pm8Pr2
_symmetry_space_group_name_H-M 'P -1'
_symmetry_Int_Tables_number 2
_cell_length_a 6.2983
_cell_length_b 6.3094
_cell_length_c 11.5250
_cell_angle_alpha 90.02
_cell_angle_beta 100.47
_cell_angle_gamma 99.59
loop_
_symmetry_equiv_pos_as_xyz
'x,y,z'
'-x,-y,-z'
loop_
_atom_site_label
_atom_site_type_symbol
_atom_site_fract_x
_atom_site_fract_y
_atom_site_fract_z
Tb1 Tb 0.0000 0.0000 0.0000
Tb2 Tb 0.2301 0.5388 0.9246
Pm1 Pm 0.0769 0.8438 0.3042
Pm2 Pm 0.1532 0.6922 0.6182
Pm3 Pm 0.3076 0.3819 0.2270
Pm4 Pm 0.4609 0.0787 0.8489
Pr1 Pr 0.3838 0.2306 0.5393
```

***

7.
Computed powder X-ray diffraction pattern of Nd3NiIr for Cu Kα X-rays, from DFT lattice parameters and positions (PBE).
Kinematic intensities with the Lorentz-polarization factor, no thermal factor.

Largest 12 diffraction maxima, in order of rising 2θ, 10° ≤ 2θ ≤ 80°:
2θ/deg  intensity  hkl
13.37  18.5  1 0 0
18.42  18.7  0 0 2
30.94  32.4  1 0 3
32.01  100.0  1 1 -2
32.82  19.3  2 0 2
35.80  27.9  0 1 3
36.38  78.6  2 1 1
37.33  15.8  0 0 4
45.16  31.6  0 2 0
50.14  25.3  3 0 3
60.15  34.1  2 1 5
69.75  19.9  3 2 3

```
data_Nd3NiIr
_symmetry_space_group_name_H-M 'P 1 21/m 1'
_symmetry_Int_Tables_number 11
_cell_length_a 6.6235
_cell_length_b 4.0161
_cell_length_c 9.6347
_cell_angle_alpha 90.00
_cell_angle_beta 90.01
_cell_angle_gamma 90.00
loop_
_symmetry_equiv_pos_as_xyz
'x,y,z'
'-x,-y,-z'
'-x,y+1/2,-z'
'x,-y+1/2,z'
loop_
_atom_site_label
_atom_site_type_symbol
_atom_site_fract_x
_atom_site_fract_y
_atom_site_fract_z
Nd1 Nd 0.2281 0.2500 0.2501
Nd2 Nd 0.2657 0.7500 0.5598
Nd3 Nd 0.2656 0.7500 0.9401
Ni1 Ni 0.0734 0.2500 0.7496
Ir1 Ir 0.4617 0.2500 0.7501
```

***

8.
Computed powder X-ray diffraction pattern of Rb2Hg2Cl5 for Cu Kα X-rays, from DFT lattice parameters and positions (PBE).
Kinematic intensities with the Lorentz-polarization factor, no thermal factor.

Largest 12 diffraction maxima, in order of rising 2θ, 10° ≤ 2θ ≤ 80°:
2θ/deg  intensity  hkl
16.43  30.1  0 0 1
17.24  18.1  0 2 0
23.23  20.0  1 0 -1
23.41  20.4  1 0 1
23.90  100.0  1 2 0
33.22  44.5  2 0 0
34.88  13.8  0 4 0
37.66  11.3  0 2 2
41.23  23.2  2 2 -1
41.45  24.2  2 2 1
48.93  20.2  2 4 0
56.27  10.9  1 6 0

```
data_Rb2Hg2Cl5
_symmetry_space_group_name_H-M 'P 1 m 1'
_symmetry_Int_Tables_number 6
_cell_length_a 5.3938
_cell_length_b 10.2893
_cell_length_c 5.3938
_cell_angle_alpha 90.00
_cell_angle_beta 90.43
_cell_angle_gamma 90.00
loop_
_symmetry_equiv_pos_as_xyz
'x,y,z'
'x,-y,z'
loop_
_atom_site_label
_atom_site_type_symbol
_atom_site_fract_x
_atom_site_fract_y
_atom_site_fract_z
Rb1 Rb 0.0000 0.0000 0.0000
Rb2 Rb 0.0392 0.5000 0.9577
Hg1 Hg 0.5365 0.2699 0.4606
Cl1 Cl 0.0376 0.2934 0.4570
Cl2 Cl 0.5399 0.2935 0.9593
Cl3 Cl 0.5447 0.0000 0.4507
```

***

9.
Computed powder X-ray diffraction pattern of NaTh2Ge3Pt4 for Cu Kα X-rays, from DFT lattice parameters and positions (PBE).
Kinematic intensities with the Lorentz-polarization factor, no thermal factor.

Largest 12 diffraction maxima, in order of rising 2θ, 10° ≤ 2θ ≤ 80°:
2θ/deg  intensity  hkl
26.61  15.4  1 0 2
29.16  17.5  1 1 0
30.39  18.2  1 1 1
32.77  51.3  1 0 3
33.83  100.0  1 1 2
41.71  58.6  2 0 0
45.33  13.0  1 1 4
47.89  30.1  1 0 5
54.03  25.4  2 1 3
60.46  19.8  2 2 0
65.35  24.0  2 1 5
71.11  25.9  3 1 2

```
data_NaTh2Ge3Pt4
_symmetry_space_group_name_H-M 'P -4 m 2'
_symmetry_Int_Tables_number 115
_cell_length_a 4.3312
_cell_length_b 4.3312
_cell_length_c 10.5669
_cell_angle_alpha 90.00
_cell_angle_beta 90.00
_cell_angle_gamma 90.00
loop_
_symmetry_equiv_pos_as_xyz
'x,y,z'
'y,-x,-z'
'-x,-y,z'
'-y,x,-z'
'-x,y,z'
'-y,-x,-z'
'x,-y,z'
'y,x,-z'
loop_
_atom_site_label
_atom_site_type_symbol
_atom_site_fract_x
_atom_site_fract_y
_atom_site_fract_z
Na1 Na 0.0000 0.0000 0.0000
Th1 Th 0.0000 0.5000 0.7375
Ge1 Ge 0.0000 0.5000 0.3734
Ge2 Ge 0.5000 0.5000 0.0000
Pt1 Pt 0.0000 0.0000 0.5000
Pt2 Pt 0.0000 0.5000 0.1439
Pt3 Pt 0.5000 0.5000 0.5000
```

***

10.
Computed powder X-ray diffraction pattern of KPu2Zn2O7 for Cu Kα X-rays, from DFT lattice parameters and positions (PBE).
Kinematic intensities with the Lorentz-polarization factor, no thermal factor.

Largest 12 diffraction maxima, in order of rising 2θ, 10° ≤ 2θ ≤ 80°:
2θ/deg  intensity  hkl
18.57  37.4  0 0 4
20.94  71.7  0 1 1
21.75  76.6  1 0 1
25.48  47.0  1 0 3
29.63  36.1  1 1 0
31.13  100.0  0 1 5
31.71  33.5  1 0 5
35.20  68.8  1 1 4
37.65  30.8  0 0 8
41.51  35.5  0 2 0
43.27  31.4  2 0 0
48.58  31.2  2 1 1

```
data_KPu2Zn2O7
_symmetry_space_group_name_H-M 'I m m m'
_symmetry_Int_Tables_number 71
_symmetry_space_group_name_Hall '-I 2 2'
_cell_length_a 4.1824
_cell_length_b 4.3505
_cell_length_c 19.1142
_cell_angle_alpha 90.00
_cell_angle_beta 90.00
_cell_angle_gamma 90.00
loop_
_atom_site_label
_atom_site_type_symbol
_atom_site_fract_x
_atom_site_fract_y
_atom_site_fract_z
K1 K 0.0000 0.0000 0.0000
Pu1 Pu 0.0000 0.0000 0.3875
Zn1 Zn 0.0000 0.5000 0.2661
O1 O 0.0000 0.0000 0.2640
O2 O 0.0000 0.0000 0.5000
O3 O 0.0000 0.5000 0.1134
O4 O 0.0000 0.5000 0.3752
```

***

11.
Computed powder X-ray diffraction pattern of CsK2PuBr6 for Cu Kα X-rays, from DFT lattice parameters and positions (PBE).
Kinematic intensities with the Lorentz-polarization factor, no thermal factor.

Largest 12 diffraction maxima, in order of rising 2θ, 10° ≤ 2θ ≤ 80°:
2θ/deg  intensity  hkl
12.63  36.0  0 1 1
12.97  30.3  1 0 0
14.81  39.8  0 0 2
15.00  100.0  1 1 -1
20.83  43.0  1 1 1
21.45  48.1  1 1 -3
30.27  36.6  2 2 -2
32.98  33.9  1 3 -1
33.18  33.8  1 1 3
34.25  37.3  2 2 -4
36.52  55.6  0 2 4
38.62  43.7  3 1 -5

```
data_CsK2PuBr6
_symmetry_space_group_name_H-M 'P 1 21/c 1'
_symmetry_Int_Tables_number 14
_cell_length_a 8.0885
_cell_length_b 8.6518
_cell_length_c 14.1797
_cell_angle_alpha 90.00
_cell_angle_beta 122.47
_cell_angle_gamma 90.00
loop_
_symmetry_equiv_pos_as_xyz
'x,y,z'
'-x,-y,-z'
'-x,y+1/2,-z+1/2'
'x,-y+1/2,z+1/2'
loop_
_atom_site_label
_atom_site_type_symbol
_atom_site_fract_x
_atom_site_fract_y
_atom_site_fract_z
Cs1 Cs 0.0000 0.0000 0.0000
K1 K 0.2923 0.0882 0.7601
Pu1 Pu 0.5000 0.0000 0.5000
Br1 Br 0.1353 0.0645 0.2890
Br2 Br 0.3051 0.6681 0.0875
Br3 Br 0.4357 0.2121 0.0787
```

***

12.
Computed powder X-ray diffraction pattern of La8SmEr3 for Cu Kα X-rays, from DFT lattice parameters and positions (PBE).
Kinematic intensities with the Lorentz-polarization factor, no thermal factor.

Largest 12 diffraction maxima, in order of rising 2θ, 10° ≤ 2θ ≤ 80°:
2θ/deg  intensity  hkl
21.45  19.6  1 1 2
27.27  11.5  1 3 0
29.79  36.9  0 0 4
30.74  31.3  2 0 2
31.17  100.0  1 3 2
34.72  21.4  2 2 2
35.20  14.3  0 4 2
43.71  13.3  2 2 4
50.15  19.6  3 3 2
53.73  16.0  1 3 6
56.27  14.2  2 6 0
64.96  15.0  2 6 4

```
data_La8SmEr3
_symmetry_space_group_name_H-M 'I 2 2 2'
_symmetry_Int_Tables_number 23
_cell_length_a 6.6499
_cell_length_b 11.2658
_cell_length_c 11.9977
_cell_angle_alpha 90.00
_cell_angle_beta 90.00
_cell_angle_gamma 90.00
loop_
_symmetry_equiv_pos_as_xyz
'x,y,z'
'-x,-y,z'
'x,-y,-z'
'-x,y,-z'
'x+1/2,y+1/2,z+1/2'
'-x+1/2,-y+1/2,z+1/2'
'x+1/2,-y+1/2,-z+1/2'
'-x+1/2,y+1/2,-z+1/2'
loop_
_atom_site_label
_atom_site_type_symbol
_atom_site_fract_x
_atom_site_fract_y
_atom_site_fract_z
La1 La 0.0008 0.1588 0.2501
La2 La 0.2442 0.2581 0.5272
Sm1 Sm 0.0000 0.0000 0.5000
Er1 Er 0.0000 0.0000 0.0000
Er2 Er 0.0000 0.5000 0.2712
```